The following is a computed powder diffractogram of InTe2Au. It was derived from a structure optimized by DFT (PBE), using Cu Kα, 1.54184 Å.
No peak broadening, texture or thermal motion is included.

Principal peaks in the range 2θ from 5° to 70°, sorted by position:
index	Position (°2θ)	I_rel
1 0 0	16.34	65.7
1 1 1	23.85	98.6
0 0 2	24.51	48.2
0 1 2	27.45	42.6
1 2 0	29.58	72.7
1 1 2	32.11	100.0
2 2 0	41.55	57.3
1 1 3	42.74	34.3
2 1 2	43.47	49.1
0 3 2	44.97	36.2

Crystal structure
Cell: 5.424 7.270 7.263 Å, 90.00 90.00 90.00°
Sites, in units of the cell vectors:
In  0.000  0.000  0.250
In  0.000  0.000  0.750
Te  0.292  0.215  0.000
Te  0.292  0.785  0.500
Te  0.708  0.215  0.500
Te  0.708  0.785  0.000
Au  0.000  0.500  0.000
Au  0.000  0.500  0.500

---

The following is a computed powder diffractogram of InTe2Au. It was derived from a structure optimized by DFT (PBE), using Cu Kα, 1.54184 Å.
No peak broadening, texture or thermal motion is included.

Principal peaks in the range 2θ from 5° to 70°, sorted by position:
index	Position (°2θ)	I_rel
1 1 0	15.42	26.2
1 2 1	23.78	77.5
0 4 0	26.43	20.2
1 3 1	28.07	100.0
1 1 2	32.15	29.9
2 2 1	34.24	31.7
2 0 2	40.11	58.8
3 3 1	49.67	41.1
0 0 4	57.99	21.0
3 3 3	65.67	20.3

Crystal structure
Cell: 6.350 13.489 6.368 Å, 90.00 90.00 90.00°
Sites, in units of the cell vectors:
In  0.000  0.250  0.250
In  0.000  0.750  0.750
In  0.500  0.250  0.750
In  0.500  0.750  0.250
Te  0.213  0.118  0.539
Te  0.213  0.882  0.039
Te  0.287  0.382  0.039
Te  0.287  0.618  0.539
Te  0.713  0.382  0.461
Te  0.713  0.618  0.961
Te  0.787  0.118  0.961
Te  0.787  0.882  0.461
Au  0.000  0.404  0.750
Au  0.000  0.596  0.250
Au  0.500  0.096  0.250
Au  0.500  0.904  0.750